# 1
Calculated PXRD pattern of Li4TlF7 for Cu Kα (weighted mean of Kα1 and Kα2), from a structure optimized by DFT (PBE).
Neutral-atom scattering factors, no anomalous dispersion.

Principal peaks in the range 5 to 70 degrees two-theta, in order of rising 2θ:
2theta  I/Imax
13.35  58
19.47  100
22.90  18
26.59  39
27.28  51
38.26  23
38.67  20
39.53  19
39.73  22
43.01  16

Structural model:
Cell lengths 7.6877, 7.6877, 6.2196 Å; angles 90.00, 90.00, 60.70 degrees
Fractional coordinates of all 24 atoms:
Li 0.0401 0.7128 0.7500
Li 0.2872 0.9599 0.7500
Li 0.2971 0.2971 0.0000
Li 0.2971 0.2971 0.5000
Li 0.7029 0.7029 0.0000
Li 0.7029 0.7029 0.5000
Li 0.7128 0.0401 0.2500
Li 0.9599 0.2872 0.2500
Tl 0.2468 0.7532 0.2500
Tl 0.7532 0.2468 0.7500
F 0.0323 0.9677 0.7500
F 0.1997 0.5842 0.0005
F 0.1997 0.5842 0.4995
F 0.2186 0.2322 0.2500
F 0.2322 0.2186 0.7500
F 0.4158 0.8003 0.0005
F 0.4158 0.8003 0.4995
F 0.5842 0.1997 0.9995
F 0.5842 0.1997 0.5005
F 0.7678 0.7814 0.2500
F 0.7814 0.7678 0.7500
F 0.8003 0.4158 0.9995
F 0.8003 0.4158 0.5005
F 0.9677 0.0323 0.2500



# 2
Calculated PXRD pattern of LiTl3F8 for Cu Kα (weighted mean of Kα1 and Kα2), from a structure optimized by DFT (PBE).
Neutral-atom scattering factors, no anomalous dispersion.

Principal peaks in the range 5 to 70 degrees two-theta, in order of rising 2θ:
2theta  I/Imax
15.41  12
17.73  27
27.50  100
28.29  10
32.23  18
37.02  10
45.41  40
46.22  19
53.19  17
54.63  31

Structural model:
Cell lengths 6.9625, 6.9625, 6.9625 Å; angles 132.97, 132.97, 68.70 degrees
Fractional coordinates of all 12 atoms:
Li 0.0000 0.0000 0.0000
Tl 0.2500 0.7500 0.5000
Tl 0.5000 0.5000 0.0000
Tl 0.7500 0.2500 0.5000
F 0.1056 0.1056 0.4810
F 0.1056 0.6246 0.0000
F 0.3754 0.3754 0.4810
F 0.3754 0.8944 0.0000
F 0.6246 0.1056 0.0000
F 0.6246 0.6246 0.5190
F 0.8944 0.3754 0.0000
F 0.8944 0.8944 0.5190



> Number 2 is which compound?

LiTl3F8



> Number 2 is which compound?

LiTl3F8